Diffraction record for Li3TiV3O8. The powder X-ray diffraction pattern is simulated, not measured: it uses a GGA+U-relaxed structure and λ = 1.5418 Å (Cu Kα).

Main lines, sorted by position (2θ from 15° to 90°):
2θ 18.4, I = 47.7, hkl 0 0 2; 2θ 19.6, I = 100.0, hkl 1 0 1; 2θ 35.6, I = 40.6, hkl 1 1 2; 2θ 36.3, I = 50.2, hkl 2 0 1; 2θ 39.9, I = 51.3, hkl 2 0 2; 2θ 45.2, I = 83.2, hkl 2 0 3; 2θ 60.0, I = 45.1, hkl 2 0 5; 2θ 62.9, I = 47.7, hkl 2 2 0

Structure:
abc: 5.9097 5.9097 9.6692
angles: 90.00 90.00 120.00
Atoms (fractional coordinates):
Li  0.1747  0.3494  0.0000
Li  0.1747  0.8253  0.0000
Li  0.3494  0.1747  0.5000
Li  0.6506  0.8253  0.0000
Li  0.8253  0.1747  0.5000
Li  0.8253  0.6506  0.5000
Ti  0.3333  0.6667  0.4480
Ti  0.6667  0.3333  0.9480
V  0.1691  0.3381  0.7285
V  0.1691  0.8309  0.7285
V  0.3381  0.1691  0.2285
V  0.6619  0.8309  0.7285
V  0.8309  0.1691  0.2285
V  0.8309  0.6619  0.2285
O  0.0000  0.0000  0.1202
O  0.0000  0.0000  0.6202
O  0.0348  0.5174  0.5966
O  0.1670  0.3339  0.3542
O  0.1670  0.8330  0.3542
O  0.3333  0.6667  0.8431
O  0.3339  0.1670  0.8542
O  0.4826  0.5174  0.5966
O  0.4826  0.9652  0.5966
O  0.5174  0.0348  0.0966
O  0.5174  0.4826  0.0966
O  0.6661  0.8330  0.3542
O  0.6667  0.3333  0.3431
O  0.8330  0.1670  0.8542
O  0.8330  0.6661  0.8542
O  0.9652  0.4826  0.0966